For NbO2, a DFT-relaxed cell (GGA-PBE, OQMD) gives the calculated powder diffractogram in this record (a wavelength of 1.5418 Å).
Kinematic intensities with the Lorentz-polarization factor, no thermal factor.

Top 12 peaks for 10 to 90 degrees two-theta, in order of rising 2θ:
3.440 Å, I 100; 2.566 Å, I 64; 2.432 Å, I 17; 2.269 Å, I 7; 1.765 Å, I 52; 1.720 Å, I 17; 1.538 Å, I 13; 1.429 Å, I 15; 1.383 Å, I 7; 1.232 Å, I 8; 1.135 Å, I 5; 1.099 Å, I 7

Structural model:
Lattice parameters (Å, degrees): 10.1866 10.1866 10.1866 95.04 95.04 145.51
Fractional positions:
Nb (0.0869, 0.3487, 0.9892)
Nb (0.1405, 0.9023, 0.4892)
Nb (0.1513, 0.6405, 0.7382)
Nb (0.1536, 0.1634, 0.2601)
Nb (0.3366, 0.0968, 0.9903)
Nb (0.3935, 0.6536, 0.4903)
Nb (0.4023, 0.4131, 0.7618)
Nb (0.4032, 0.8935, 0.2399)
Nb (0.5968, 0.1065, 0.7601)
Nb (0.5977, 0.5869, 0.2382)
Nb (0.6065, 0.3464, 0.5097)
Nb (0.6634, 0.9032, 0.0097)
Nb (0.8464, 0.8366, 0.7399)
Nb (0.8487, 0.3595, 0.2618)
Nb (0.8595, 0.0977, 0.5108)
Nb (0.9131, 0.6513, 0.0108)
O (0.0224, 0.6194, 0.1511)
O (0.0317, 0.1287, 0.6511)
O (0.1139, 0.9761, 0.1129)
O (0.1172, 0.7555, 0.8878)
O (0.1194, 0.4683, 0.5970)
O (0.1210, 0.2714, 0.3997)
O (0.2213, 0.6210, 0.3497)
O (0.2286, 0.1284, 0.8497)
O (0.2555, 0.8678, 0.6384)
O (0.2706, 0.3828, 0.1384)
O (0.3632, 0.0010, 0.3871)
O (0.3678, 0.2294, 0.6122)
O (0.3713, 0.5224, 0.9030)
O (0.3716, 0.7213, 0.1003)
O (0.4761, 0.8632, 0.8622)
O (0.4990, 0.3861, 0.3622)
O (0.5010, 0.6139, 0.6378)
O (0.5239, 0.1368, 0.1378)
O (0.6284, 0.2787, 0.8997)
O (0.6287, 0.4776, 0.0970)
O (0.6322, 0.7706, 0.3878)
O (0.6368, 0.9990, 0.6129)
O (0.7294, 0.6172, 0.8616)
O (0.7445, 0.1322, 0.3616)
O (0.7714, 0.8716, 0.1503)
O (0.7787, 0.3790, 0.6503)
O (0.8790, 0.7286, 0.6003)
O (0.8806, 0.5317, 0.4030)
O (0.8828, 0.2445, 0.1122)
O (0.8861, 0.0239, 0.8871)
O (0.9683, 0.8713, 0.3489)
O (0.9776, 0.3806, 0.8489)